1.
This entry pairs a crystal structure of HfNbCo with its calculated powder diffractogram. Radiation: λ = 1.5418 Å (Cu Kα). Structure: a cell relaxed with GGA-PBE.
Kinematic intensities with the Lorentz-polarization factor, no thermal factor.

Cell and atoms:
Lattice parameters (Å, degrees): 9.835 9.125 5.147 82.03 66.75 31.21
Fractional coordinates of all 12 atoms:
Hf 0.042 0.708 0.042
Hf 0.292 0.958 0.292
Hf 0.708 0.042 0.708
Hf 0.958 0.292 0.958
Nb 0.294 0.294 0.456
Nb 0.456 0.456 0.294
Nb 0.544 0.544 0.706
Nb 0.706 0.706 0.544
Co 0.001 0.001 0.249
Co 0.249 0.249 0.001
Co 0.751 0.751 0.999
Co 0.999 0.999 0.751

Main lines, sorted by position (2θ from 10° to 90°):
2theta	d [Å]	I (rel.)
32.57	2.749	23
35.25	2.546	60
36.72	2.448	100
38.22	2.355	52
41.43	2.180	39
45.90	1.977	46


2.
This entry pairs a crystal structure of LaH6IrPt with its calculated powder diffractogram. Radiation: λ = 1.5418 Å (Cu Kα). Structure: a cell relaxed with GGA-PBE.
Kinematic intensities with the Lorentz-polarization factor, no thermal factor.

Cell and atoms:
Lattice parameters (Å, degrees): 4.910 4.910 4.247 90.00 90.00 120.00
Fractional coordinates of all 9 atoms:
La 0.000 0.000 0.000
H 0.508 0.017 0.238
H 0.508 0.017 0.762
H 0.508 0.492 0.238
H 0.508 0.492 0.762
H 0.983 0.492 0.238
H 0.983 0.492 0.762
Ir 0.667 0.333 0.500
Pt 0.333 0.667 0.500

Main lines, sorted by position (2θ from 10° to 90°):
2theta	d [Å]	I (rel.)
29.73	3.005	100
36.60	2.455	72
42.55	2.125	37
47.85	1.901	28
57.37	1.606	41
61.71	1.503	26


3.
This entry pairs a crystal structure of Ca3NiAs3 with its calculated powder diffractogram. Radiation: λ = 1.5418 Å (Cu Kα). Structure: a cell relaxed with GGA-PBE.
Kinematic intensities with the Lorentz-polarization factor, no thermal factor.

Cell and atoms:
Lattice parameters (Å, degrees): 9.598 9.598 12.133 90.00 90.00 37.35
Fractional coordinates of all 28 atoms:
Ca 0.024 0.625 0.129
Ca 0.125 0.524 0.629
Ca 0.185 0.815 0.855
Ca 0.315 0.685 0.355
Ca 0.375 0.976 0.129
Ca 0.476 0.875 0.629
Ca 0.524 0.125 0.371
Ca 0.625 0.024 0.871
Ca 0.685 0.315 0.645
Ca 0.815 0.185 0.145
Ca 0.875 0.476 0.371
Ca 0.976 0.375 0.871
Ni 0.079 0.079 0.500
Ni 0.421 0.421 0.000
Ni 0.579 0.579 0.000
Ni 0.921 0.921 0.500
As 0.044 0.639 0.381
As 0.139 0.544 0.881
As 0.206 0.794 0.608
As 0.294 0.706 0.108
As 0.361 0.956 0.381
As 0.456 0.861 0.881
As 0.544 0.139 0.119
As 0.639 0.044 0.619
As 0.706 0.294 0.892
As 0.794 0.206 0.392
As 0.861 0.456 0.119
As 0.956 0.361 0.619

Main lines, sorted by position (2θ from 10° to 90°):
2theta	d [Å]	I (rel.)
16.89	5.250	43
25.32	3.517	30
29.05	3.073	27
29.46	3.032	87
41.86	2.158	100
42.15	2.144	59


4.
This entry pairs a crystal structure of PmTmNp with its calculated powder diffractogram. Radiation: λ = 1.5418 Å (Cu Kα). Structure: a cell relaxed with GGA-PBE.
Kinematic intensities with the Lorentz-polarization factor, no thermal factor.

Cell and atoms:
Lattice parameters (Å, degrees): 16.778 3.534 5.954 90.00 102.31 90.00
Fractional coordinates of all 12 atoms:
Pm 0.123 0.000 0.324
Pm 0.377 0.500 0.676
Pm 0.623 0.500 0.324
Pm 0.877 0.000 0.676
Tm 0.067 0.500 0.794
Tm 0.433 0.000 0.206
Tm 0.567 0.000 0.794
Tm 0.933 0.500 0.206
Np 0.238 0.000 0.862
Np 0.262 0.500 0.138
Np 0.738 0.500 0.862
Np 0.762 0.000 0.138

Main lines, sorted by position (2θ from 10° to 90°):
2theta	d [Å]	I (rel.)
10.79	8.196	44
29.21	3.057	34
32.24	2.777	100
32.78	2.732	35
33.12	2.705	57
35.52	2.528	79